(1)
# Ac4Nd4Sm
Calculated X-ray powder pattern, Cu Ka. Input: a crystal structure in Alexandria, relaxed with GGA-PBE.
Neutral-atom scattering factors, no anomalous dispersion.

Peak list (6 most intense, 10° ≤ 2θ ≤ 80°, by intensity)
2theta, intensity
28.7, 100.0
47.7, 37.7
33.2, 34.2
56.5, 30.4
33.3, 17.0
56.7, 15.1

Structure:
abc: 8.539 8.539 8.539
angles: 95.70 95.70 143.26
Atoms (fractional coordinates):
Ac 0.166 0.166 0.332
Ac 0.166 0.834 0.000
Ac 0.834 0.166 0.000
Ac 0.834 0.834 0.668
Nd 0.162 0.500 0.662
Nd 0.500 0.162 0.662
Nd 0.500 0.838 0.338
Nd 0.838 0.500 0.338
Sm 0.500 0.500 0.000



(2)
# MnV5Tc4
Calculated X-ray powder pattern, Cu Ka. Input: a crystal structure in Alexandria, relaxed with GGA-PBE.
Neutral-atom scattering factors, no anomalous dispersion.

Peak list (6 most intense, 10° ≤ 2θ ≤ 80°, by intensity)
2theta, intensity
42.6, 100.0
78.0, 20.3
29.8, 11.6
61.8, 10.5
78.1, 9.7
62.0, 5.0

Structure:
abc: 3.002 3.002 14.971
angles: 90.00 90.00 90.00
Atoms (fractional coordinates):
Mn 0.000 0.000 0.000
V 0.500 0.500 0.095
V 0.500 0.500 0.297
V 0.500 0.500 0.500
V 0.500 0.500 0.703
V 0.500 0.500 0.905
Tc 0.000 0.000 0.195
Tc 0.000 0.000 0.399
Tc 0.000 0.000 0.601
Tc 0.000 0.000 0.805



(3)
# ScRu2Cl
Calculated X-ray powder pattern, Cu Ka. Input: a crystal structure in Alexandria, relaxed with GGA-PBE.
Neutral-atom scattering factors, no anomalous dispersion.

Peak list (6 most intense, 10° ≤ 2θ ≤ 80°, by intensity)
2theta, intensity
11.9, 100.0
39.3, 42.0
35.0, 25.5
23.9, 21.8
41.2, 19.6
38.4, 19.5

Structure:
abc: 3.011 3.536 7.447
angles: 90.00 90.00 90.00
Atoms (fractional coordinates):
Sc 0.000 0.000 0.000
Ru 0.000 0.000 0.635
Ru 0.500 0.500 0.760
Cl 0.500 0.500 0.201



(4)
# Hf7MoPb2
Calculated X-ray powder pattern, Cu Ka. Input: a crystal structure in Alexandria, relaxed with GGA-PBE.
Neutral-atom scattering factors, no anomalous dispersion.

Peak list (6 most intense, 10° ≤ 2θ ≤ 80°, by intensity)
2theta, intensity
35.0, 100.0
30.2, 91.8
50.4, 71.9
59.9, 40.5
62.9, 24.7
24.6, 18.2

Structure:
abc: 7.242 7.242 7.242
angles: 60.00 60.00 60.00
Atoms (fractional coordinates):
Hf 0.000 0.000 0.000
Hf 0.256 0.256 0.744
Hf 0.256 0.744 0.256
Hf 0.256 0.744 0.744
Hf 0.744 0.256 0.256
Hf 0.744 0.256 0.744
Hf 0.744 0.744 0.256
Mo 0.500 0.500 0.500
Pb 0.250 0.250 0.250
Pb 0.750 0.750 0.750



(5)
# La2SmPb2N2
Calculated X-ray powder pattern, Cu Ka. Input: a crystal structure in Alexandria, relaxed with GGA-PBE.
Neutral-atom scattering factors, no anomalous dispersion.

Peak list (6 most intense, 10° ≤ 2θ ≤ 80°, by intensity)
2theta, intensity
32.8, 100.0
27.4, 84.7
51.9, 55.4
39.1, 38.0
63.9, 16.3
66.9, 13.0

Structure:
abc: 9.080 9.080 9.080
angles: 150.60 150.60 42.07
Atoms (fractional coordinates):
La 0.090 0.090 0.000
La 0.910 0.910 0.000
Sm 0.500 0.500 0.000
Pb 0.286 0.286 0.000
Pb 0.714 0.714 0.000
N 0.000 0.500 0.500
N 0.500 0.000 0.500



(6)
# Mn5Be3
Calculated X-ray powder pattern, Cu Ka. Input: a crystal structure in Alexandria, relaxed with GGA-PBE.
Neutral-atom scattering factors, no anomalous dispersion.

Peak list (6 most intense, 10° ≤ 2θ ≤ 80°, by intensity)
2theta, intensity
49.2, 100.0
44.0, 83.1
31.7, 81.1
53.0, 72.3
47.8, 61.5
33.3, 49.9

Structure:
abc: 6.372 6.372 6.372
angles: 96.31 96.31 141.29
Atoms (fractional coordinates):
Mn 0.072 0.770 0.842
Mn 0.230 0.072 0.302
Mn 0.250 0.750 0.500
Mn 0.270 0.572 0.842
Mn 0.428 0.270 0.698
Mn 0.572 0.730 0.302
Mn 0.730 0.428 0.158
Mn 0.750 0.250 0.500
Mn 0.770 0.928 0.698
Mn 0.928 0.230 0.158
Be 0.173 0.327 0.500
Be 0.250 0.250 0.000
Be 0.327 0.827 0.154
Be 0.673 0.173 0.846
Be 0.750 0.750 0.000
Be 0.827 0.673 0.500



(7)
# Sr2LiUPd6
Calculated X-ray powder pattern, Cu Ka. Input: a crystal structure in Alexandria, relaxed with GGA-PBE.
Neutral-atom scattering factors, no anomalous dispersion.

Peak list (6 most intense, 10° ≤ 2θ ≤ 80°, by intensity)
2theta, intensity
37.4, 100.0
32.2, 62.8
53.9, 44.8
18.4, 40.7
30.8, 35.5
40.9, 24.5

Structure:
abc: 6.802 6.802 6.802
angles: 120.14 119.88 89.98
Atoms (fractional coordinates):
Sr 0.250 0.250 0.000
Sr 0.750 0.750 0.000
Li 0.500 0.000 0.500
U 0.000 0.500 0.500
Pd 0.265 0.236 0.500
Pd 0.265 0.764 0.029
Pd 0.265 0.765 0.500
Pd 0.735 0.235 0.500
Pd 0.735 0.236 0.971
Pd 0.735 0.764 0.500



(8)
# SmGe3Ru
Calculated X-ray powder pattern, Cu Ka. Input: a crystal structure in Alexandria, relaxed with GGA-PBE.
Neutral-atom scattering factors, no anomalous dispersion.

Peak list (6 most intense, 10° ≤ 2θ ≤ 80°, by intensity)
2theta, intensity
36.6, 100.0
34.9, 92.4
46.0, 65.8
37.9, 31.7
26.3, 30.6
31.1, 29.8

Structure:
abc: 6.167 5.752 5.746
angles: 90.00 90.00 90.00
Atoms (fractional coordinates):
Sm 0.000 0.142 0.000
Sm 0.500 0.858 0.500
Ge 0.000 0.920 0.459
Ge 0.232 0.329 0.536
Ge 0.268 0.671 0.036
Ge 0.500 0.080 0.959
Ge 0.732 0.671 0.036
Ge 0.768 0.329 0.536
Ru 0.000 0.615 0.734
Ru 0.500 0.385 0.234